# 1
Tb4MgIr: theoretical X-ray diffraction stick pattern (Cu Kα), based on a crystal structure in the Materials Project, relaxed with PBE.

Main lines, low angle first (5 to 70 degrees two-theta):
Position (°2θ)  d [Å]  I/Imax
11.11  7.963  38
28.20  3.164  30
31.79  2.815  43
33.77  2.654  100
36.87  2.438  39
47.05  1.931  11
50.85  1.796  13
56.63  1.625  43
57.90  1.593  15
67.58  1.386  10

Cell and atoms:
Lattice parameters (Å, degrees): 9.7524 9.7524 9.7524 60.00 60.00 60.00
Fractional coordinates of all 24 atoms:
Tb 0.0617 0.0617 0.4383
Tb 0.0617 0.4383 0.0617
Tb 0.0617 0.4383 0.4383
Tb 0.1870 0.1870 0.8130
Tb 0.1870 0.8130 0.1870
Tb 0.1870 0.8130 0.8130
Tb 0.2108 0.5964 0.5964
Tb 0.4383 0.0617 0.0617
Tb 0.4383 0.0617 0.4383
Tb 0.4383 0.4383 0.0617
Tb 0.5964 0.2108 0.5964
Tb 0.5964 0.5964 0.2108
Tb 0.5964 0.5964 0.5964
Tb 0.8130 0.1870 0.1870
Tb 0.8130 0.1870 0.8130
Tb 0.8130 0.8130 0.1870
Mg 0.5117 0.8294 0.8294
Mg 0.8294 0.5117 0.8294
Mg 0.8294 0.8294 0.5117
Mg 0.8294 0.8294 0.8294
Ir 0.3913 0.3913 0.3913
Ir 0.3913 0.3913 0.8262
Ir 0.3913 0.8262 0.3913
Ir 0.8262 0.3913 0.3913

# 2
Y4MgIr: theoretical X-ray diffraction stick pattern (Cu Kα), based on a crystal structure in the Materials Project, relaxed with PBE.

Main lines, low angle first (5 to 70 degrees two-theta):
Position (°2θ)  d [Å]  I/Imax
11.12  7.958  58
21.38  4.156  19
22.34  3.979  15
28.22  3.162  17
31.80  2.814  30
33.79  2.653  100
36.89  2.437  43
50.88  1.795  16
56.66  1.624  31
57.94  1.592  14

Cell and atoms:
Lattice parameters (Å, degrees): 9.7467 9.7467 9.7467 60.00 60.00 60.00
Fractional coordinates of all 24 atoms:
Y 0.0421 0.6526 0.6526
Y 0.0634 0.0634 0.4366
Y 0.0634 0.4366 0.0634
Y 0.0634 0.4366 0.4366
Y 0.1872 0.1872 0.8128
Y 0.1872 0.8128 0.1872
Y 0.1872 0.8128 0.8128
Y 0.4366 0.0634 0.0634
Y 0.4366 0.0634 0.4366
Y 0.4366 0.4366 0.0634
Y 0.6526 0.0421 0.6526
Y 0.6526 0.6526 0.0421
Y 0.6526 0.6526 0.6526
Y 0.8128 0.1872 0.1872
Y 0.8128 0.1872 0.8128
Y 0.8128 0.8128 0.1872
Mg 0.4207 0.4207 0.4207
Mg 0.4207 0.4207 0.7379
Mg 0.4207 0.7379 0.4207
Mg 0.7379 0.4207 0.4207
Ir 0.4245 0.8585 0.8585
Ir 0.8585 0.4245 0.8585
Ir 0.8585 0.8585 0.4245
Ir 0.8585 0.8585 0.8585

# 3
Mn3Ir: theoretical X-ray diffraction stick pattern (Cu Kα), based on a crystal structure in the Materials Project, relaxed with PBE.

Main lines, low angle first (5 to 70 degrees two-theta):
Position (°2θ)  d [Å]  I/Imax
19.81  4.481  13
29.73  3.005  53
34.68  2.587  22
40.25  2.240  25
44.74  2.026  25
46.31  1.961  100
54.16  1.694  6
57.81  1.595  11
59.13  1.563  12
61.74  1.502  14

Cell and atoms:
Lattice parameters (Å, degrees): 5.1739 5.1739 4.0510 90.00 90.00 120.00
Fractional coordinates of all 8 atoms:
Mn 0.1566 0.3132 0.2500
Mn 0.1566 0.8434 0.2500
Mn 0.3132 0.1566 0.7500
Mn 0.6868 0.8434 0.2500
Mn 0.8434 0.1566 0.7500
Mn 0.8434 0.6868 0.7500
Ir 0.3333 0.6667 0.7500
Ir 0.6667 0.3333 0.2500

# 4
MnIr3: theoretical X-ray diffraction stick pattern (Cu Kα), based on a crystal structure in the Materials Project, relaxed with PBE.

Main lines, low angle first (5 to 70 degrees two-theta):
Position (°2θ)  d [Å]  I/Imax
18.79  4.721  5
27.95  3.192  16
32.86  2.726  7
38.12  2.361  24
41.69  2.166  25
43.66  2.073  100
54.07  1.696  3
55.71  1.650  4
57.76  1.596  15
68.89  1.363  17

Cell and atoms:
Lattice parameters (Å, degrees): 5.4519 5.4519 4.3329 90.00 90.00 120.00
Fractional coordinates of all 8 atoms:
Mn 0.3333 0.6667 0.2500
Mn 0.6667 0.3333 0.7500
Ir 0.1689 0.3378 0.7500
Ir 0.1689 0.8311 0.7500
Ir 0.3378 0.1689 0.2500
Ir 0.6622 0.8311 0.7500
Ir 0.8311 0.1689 0.2500
Ir 0.8311 0.6622 0.2500

# 5
MnIr: theoretical X-ray diffraction stick pattern (Cu Kα), based on a crystal structure in the Materials Project, relaxed with PBE.

Main lines, low angle first (5 to 70 degrees two-theta):
Position (°2θ)  d [Å]  I/Imax
24.29  3.664  30
33.66  2.663  27
41.94  2.154  100
48.34  1.883  33
49.76  1.832  15
54.81  1.675  14
61.42  1.509  10

Cell and atoms:
Lattice parameters (Å, degrees): 2.6629 2.6629 3.6644 90.00 90.00 90.00
Fractional coordinates of all 2 atoms:
Mn 0.0000 0.0000 0.0000
Ir 0.5000 0.5000 0.5000

# 6
MnIr: theoretical X-ray diffraction stick pattern (Cu Kα), based on a crystal structure in the Materials Project, relaxed with PBE.

Main lines, low angle first (5 to 70 degrees two-theta):
Position (°2θ)  d [Å]  I/Imax
20.95  4.240  56
39.93  2.258  34
41.86  2.158  100
42.65  2.120  32
48.96  1.861  63
53.81  1.704  15
65.53  1.424  9
66.11  1.413  3

Cell and atoms:
Lattice parameters (Å, degrees): 4.5073 4.5073 4.5073 34.18 34.18 34.18
Fractional coordinates of all 2 atoms:
Mn 0.0000 0.0000 0.0000
Ir 0.5000 0.5000 0.5000

# 7
Mn4IrN4: theoretical X-ray diffraction stick pattern (Cu Kα), based on a crystal structure in the Materials Project, relaxed with PBE.

Main lines, low angle first (5 to 70 degrees two-theta):
Position (°2θ)  d [Å]  I/Imax
17.84  4.972  49
20.05  4.429  50
29.60  3.018  73
34.12  2.628  45
35.02  2.562  100
37.48  2.399  52
38.38  2.345  88
41.36  2.183  42
46.99  1.934  50
49.02  1.858  52

Cell and atoms:
Lattice parameters (Å, degrees): 5.4098 5.6829 6.9465 92.50 103.66 117.29
Fractional coordinates of all 18 atoms:
Mn 0.0586 0.3435 0.0945
Mn 0.2785 0.5763 0.4944
Mn 0.3106 0.0429 0.7242
Mn 0.4114 0.6472 0.9128
Mn 0.5886 0.3528 0.0872
Mn 0.6894 0.9571 0.2758
Mn 0.7215 0.4237 0.5056
Mn 0.9414 0.6565 0.9055
Ir 0.2091 0.0043 0.2729
Ir 0.7909 0.9957 0.7271
N 0.1197 0.6581 0.6943
N 0.2231 0.2720 0.8867
N 0.2744 0.7231 0.1281
N 0.3339 0.2586 0.5215
N 0.6661 0.7414 0.4785
N 0.7256 0.2769 0.8719
N 0.7769 0.7280 0.1133
N 0.8803 0.3419 0.3057

# 8
Mn2IrN3: theoretical X-ray diffraction stick pattern (Cu Kα), based on a crystal structure in the Materials Project, relaxed with PBE.

Main lines, low angle first (5 to 70 degrees two-theta):
Position (°2θ)  d [Å]  I/Imax
18.89  4.697  100
19.38  4.580  38
26.21  3.400  29
33.62  2.666  84
36.46  2.464  61
37.61  2.392  83
38.38  2.345  77
41.38  2.182  33
50.43  1.810  46
54.59  1.681  30

Cell and atoms:
Lattice parameters (Å, degrees): 5.3345 5.3345 4.9281 90.00 90.00 61.70
Fractional coordinates of all 12 atoms:
Mn 0.0272 0.3481 0.0000
Mn 0.3481 0.0272 0.5000
Mn 0.6519 0.9728 0.0000
Mn 0.9728 0.6519 0.5000
Ir 0.4038 0.5962 0.0002
Ir 0.5962 0.4038 0.5002
N 0.0012 0.6855 0.8720
N 0.2491 0.7509 0.3792
N 0.3145 0.9988 0.8720
N 0.6855 0.0012 0.3720
N 0.7509 0.2491 0.8792
N 0.9988 0.3145 0.3720

# 9
Mn3IrN: theoretical X-ray diffraction stick pattern (Cu Kα), based on a crystal structure in the Materials Project, relaxed with PBE.

Main lines, low angle first (5 to 70 degrees two-theta):
Position (°2θ)  d [Å]  I/Imax
22.76  3.907  36
32.41  2.763  48
39.97  2.256  100
46.49  1.954  55
52.36  1.747  18
57.81  1.595  19
67.85  1.381  34

Cell and atoms:
Lattice parameters (Å, degrees): 3.9070 3.9070 3.9070 90.00 90.00 90.00
Fractional coordinates of all 5 atoms:
Mn 0.0000 0.0000 0.5000
Mn 0.0000 0.5000 0.0000
Mn 0.5000 0.0000 0.0000
Ir 0.5000 0.5000 0.5000
N 0.0000 0.0000 0.0000

# 10
Mn2IrRh: theoretical X-ray diffraction stick pattern (Cu Kα), based on a crystal structure in the Materials Project, relaxed with PBE.

Main lines, low angle first (5 to 70 degrees two-theta):
Position (°2θ)  d [Å]  I/Imax
25.34  3.515  10
29.34  3.044  26
41.98  2.152  100
49.67  1.835  5
52.04  1.757  8
60.87  1.522  16
67.01  1.397  2
68.99  1.361  10

Cell and atoms:
Lattice parameters (Å, degrees): 4.3045 4.3045 4.3045 60.00 60.00 60.00
Fractional coordinates of all 4 atoms:
Mn 0.2500 0.2500 0.2500
Mn 0.7500 0.7500 0.7500
Ir 0.0000 0.0000 0.0000
Rh 0.5000 0.5000 0.5000

# 11
MnSbIr: theoretical X-ray diffraction stick pattern (Cu Kα), based on a crystal structure in the Materials Project, relaxed with PBE.

Main lines, low angle first (5 to 70 degrees two-theta):
Position (°2θ)  d [Å]  I/Imax
25.22  3.531  75
41.77  2.162  100
49.42  1.844  37
60.56  1.529  16
66.66  1.403  15

Cell and atoms:
Lattice parameters (Å, degrees): 4.3247 4.3247 4.3247 60.00 60.00 60.00
Fractional coordinates of all 3 atoms:
Mn 0.0000 0.0000 0.0000
Sb 0.5000 0.5000 0.5000
Ir 0.2500 0.2500 0.2500

# 12
MnSiIr: theoretical X-ray diffraction stick pattern (Cu Kα), based on a crystal structure in the Materials Project, relaxed with PBE.

Main lines, low angle first (5 to 70 degrees two-theta):
Position (°2θ)  d [Å]  I/Imax
19.11  4.644  45
24.60  3.619  25
28.74  3.106  32
30.03  2.976  100
37.09  2.424  49
37.70  2.386  59
39.78  2.266  30
44.22  2.048  50
46.72  1.944  39
46.87  1.938  52

Cell and atoms:
Lattice parameters (Å, degrees): 6.0552 3.8754 7.2378 90.00 90.00 90.00
Fractional coordinates of all 12 atoms:
Mn 0.0313 0.2500 0.1803
Mn 0.4687 0.7500 0.6803
Mn 0.5313 0.2500 0.3197
Mn 0.9687 0.7500 0.8197
Si 0.2325 0.7500 0.3767
Si 0.2675 0.2500 0.8767
Si 0.7325 0.7500 0.1233
Si 0.7675 0.2500 0.6233
Ir 0.1636 0.2500 0.5624
Ir 0.3364 0.7500 0.0624
Ir 0.6636 0.2500 0.9376
Ir 0.8364 0.7500 0.4376

# 13
Mn3SiIr: theoretical X-ray diffraction stick pattern (Cu Kα), based on a crystal structure in the Materials Project, relaxed with PBE.

Main lines, low angle first (5 to 70 degrees two-theta):
Position (°2θ)  d [Å]  I/Imax
19.69  4.509  21
24.18  3.681  48
27.99  3.188  28
31.37  2.851  39
34.45  2.603  9
42.53  2.125  100
44.96  2.016  68
47.28  1.922  25
53.79  1.704  34
59.80  1.546  17

Cell and atoms:
Lattice parameters (Å, degrees): 6.3761 6.3761 6.3761 90.00 90.00 90.00
Fractional coordinates of all 20 atoms:
Mn 0.0476 0.1299 0.7885
Mn 0.1299 0.7885 0.0476
Mn 0.2115 0.5476 0.3701
Mn 0.2885 0.4524 0.8701
Mn 0.3701 0.2115 0.5476
Mn 0.4524 0.8701 0.2885
Mn 0.5476 0.3701 0.2115
Mn 0.6299 0.7115 0.9524
Mn 0.7115 0.9524 0.6299
Mn 0.7885 0.0476 0.1299
Mn 0.8701 0.2885 0.4524
Mn 0.9524 0.6299 0.7115
Si 0.0597 0.9403 0.4403
Si 0.4403 0.0597 0.9403
Si 0.5597 0.5597 0.5597
Si 0.9403 0.4403 0.0597
Ir 0.1853 0.1853 0.1853
Ir 0.3147 0.8147 0.6853
Ir 0.6853 0.3147 0.8147
Ir 0.8147 0.6853 0.3147

# 14
Ti2MnIr: theoretical X-ray diffraction stick pattern (Cu Kα), based on a crystal structure in the Materials Project, relaxed with PBE.

Main lines, low angle first (5 to 70 degrees two-theta):
Position (°2θ)  d [Å]  I/Imax
25.32  3.517  38
29.32  3.046  26
41.95  2.154  100
49.63  1.837  20
52.00  1.759  7
60.82  1.523  16
66.95  1.398  9
68.93  1.362  10

Cell and atoms:
Lattice parameters (Å, degrees): 4.3077 4.3077 4.3077 60.00 60.00 60.00
Fractional coordinates of all 4 atoms:
Ti 0.2500 0.2500 0.2500
Ti 0.7500 0.7500 0.7500
Mn 0.0000 0.0000 0.0000
Ir 0.5000 0.5000 0.5000